Structure and calculated powder diffraction line list of Rb2SnBrF6 (DFT lattice parameters and positions (GGA-PBE); CuKα).

Cell lengths 6.9845, 6.9845, 6.9845 Å; angles 121.50, 121.50, 87.41 degrees
Fractional coordinates of all 10 atoms:
1 Rb 0.2500 0.7500 0.5000
2 Rb 0.7500 0.2500 0.5000
3 Sn 0.0000 0.0000 0.0000
4 Br 0.5000 0.5000 0.0000
5 F 0.1981 0.1981 0.0000
6 F 0.2077 0.2077 0.4154
7 F 0.2077 0.7923 0.0000
8 F 0.7923 0.2077 0.0000
9 F 0.7923 0.7923 0.5846
10 F 0.8019 0.8019 0.0000

Peak list (6 most intense, 2θ from 15° to 90°, by angle)
25.53 deg, rel. 100.0; 26.11 deg, rel. 46.5; 37.26 deg, rel. 33.9; 44.65 deg, rel. 18.7; 45.72 deg, rel. 37.3; 52.46 deg, rel. 21.4

Structure and calculated powder diffraction line list of RbTeBr2F (DFT lattice parameters and positions (GGA-PBE); CuKα).

Cell lengths 5.9494, 5.9494, 4.5921 Å; angles 90.00, 90.00, 90.00 degrees
Fractional coordinates of all 5 atoms:
1 Rb 0.0000 0.0000 0.0000
2 Te 0.5000 0.5000 0.5000
3 Br 0.0000 0.5000 0.5000
4 Br 0.5000 0.0000 0.5000
5 F 0.5000 0.5000 0.0000

Peak list (6 most intense, 2θ from 15° to 90°, by angle)
24.49 deg, rel. 77.7; 30.04 deg, rel. 100.0; 39.13 deg, rel. 45.2; 43.00 deg, rel. 36.5; 50.18 deg, rel. 57.0; 59.58 deg, rel. 40.4